# 1
This entry pairs a crystal structure of MnNb4Se8 with its theoretical powder X-ray diffraction pattern. Radiation: Cu Kα. Structure: a crystal structure in Alexandria, relaxed with GGA-PBE.
Lines closer than 0.1° are merged.

The 10 most intense peaks (15 to 90 degrees two-theta), low angle first:
2θ (°), Rel. int., (hkl)
32.07, 465, 4 0 -1
32.24, 1000, 2 2 -2
39.10, 113, 1 1 -3
40.54, 544, 2 2 1
41.22, 243, 2 2 -3
41.93, 217, 4 0 -4
50.26, 168, 0 4 0
51.22, 328, 6 2 -3
52.46, 171, 2 2 2
60.87, 104, 4 4 -1

Cell and atoms:
Lattice parameters (Å, degrees): 12.2926 7.2614 8.6192 90.00 133.64 90.00
Space group C2/m (No. 12)
Asymmetric unit:
Mn 0.0000 0.0000 0.0000 x2
Nb 0.0000 0.2996 0.5000 x4
Nb 0.2237 0.5000 0.4961 x4
Se 0.0210 0.0000 0.7170 x4
Se 0.0646 0.5000 0.8003 x4
Se 0.2064 0.2553 0.2378 x8


# 2
This entry pairs a crystal structure of Mn2Nb4Si5 with its theoretical powder X-ray diffraction pattern. Radiation: Cu Kα. Structure: a crystal structure in Alexandria, relaxed with GGA-PBE.
Lines closer than 0.1° are merged.

The 10 most intense peaks (15 to 90 degrees two-theta), low angle first:
2θ (°), Rel. int., (hkl)
25.06, 178, 2 2 0
30.64, 379, 1 4 1
35.93, 248, 0 0 2
37.99, 200, 3 3 0
39.74, 419, 1 6 1
40.26, 1000, 3 2 1
40.79, 224, 1 7 0
41.44, 404, 1 3 2
42.79, 238, 2 0 2
67.51, 209, 3 2 3

Cell and atoms:
Lattice parameters (Å, degrees): 7.9157 16.1298 4.9989 90.00 90.00 90.00
Space group Ibam (No. 72)
Asymmetric unit:
Mn 0.0000 0.1941 0.2500 x8
Nb 0.1116 0.3576 0.0000 x8
Nb 0.2436 0.0634 0.0000 x8
Si 0.0000 0.5000 0.2500 x4
Si 0.0815 0.0718 0.5000 x8
Si 0.2055 0.2808 0.5000 x8


# 3
This entry pairs a crystal structure of Ta4MnNb3 with its theoretical powder X-ray diffraction pattern. Radiation: Cu Kα. Structure: a crystal structure in Alexandria, relaxed with GGA-PBE.
Lines closer than 0.1° are merged.

The 10 most intense peaks (15 to 90 degrees two-theta), low angle first:
2θ (°), Rel. int., (hkl)
26.89, 75, 0 0 4
27.61, 155, 1 0 0
38.92, 1000, 1 0 4
39.44, 504, 1 1 0
48.38, 66, 1 1 4
55.42, 78, 0 0 8
57.00, 171, 2 0 0
70.13, 157, 1 1 8
71.17, 336, 2 1 4
83.56, 96, 2 0 8

Cell and atoms:
Lattice parameters (Å, degrees): 3.2313 3.2313 13.2632 90.00 90.00 90.00
Space group P4/mmm (No. 123)
Asymmetric unit:
Ta 0.0000 0.0000 0.1126 x2
Ta 0.0000 0.0000 0.3699 x2
Mn 0.5000 0.5000 0.0000 x1
Nb 0.5000 0.5000 0.2430 x2
Nb 0.5000 0.5000 0.5000 x1